Diffraction record for Er12Mn5C15. The powder X-ray diffraction pattern is computed, not measured: it uses a crystal structure in Alexandria, relaxed with GGA-PBE and Cu Ka.
Lines closer than 0.1° are merged.

Structural model:
```
data_Er12Mn5C15
_chemical_formula_sum 'Er12 Mn5 C15'
_space_group_name_H-M_alt 'P -6 2 m'
_space_group_IT_number 189
_space_group_name_Hall 'P -6 -2'
_cell_length_a 10.3862
_cell_length_b 10.3862
_cell_length_c 4.9905
_cell_angle_alpha 90.00
_cell_angle_beta 90.00
_cell_angle_gamma 120.00
loop_
_atom_site_label
_atom_site_fract_x
_atom_site_fract_y
_atom_site_fract_z
Er1 0.0000 0.4322 0.0000
Er2 0.0000 0.7939 0.0000
Er3 0.1861 0.7312 0.5000
Mn1 0.0000 0.1536 0.5000
Mn2 0.3333 0.6667 0.0000
C1 0.0000 0.3259 0.5000
C2 0.0000 0.4566 0.5000
C3 0.0000 0.7973 0.5000
C4 0.1935 0.7187 0.0000
```

Principal peaks in the range 2θ from 10° to 90°, in order of rising 2θ:
2θ (°), Rel. int., (hkl)
26.68, 12, 2 0 1
31.85, 100, 2 1 1
34.54, 14, 2 2 0
36.00, 57, 0 0 2
50.75, 14, 5 0 0
51.82, 19, 3 1 2
60.21, 11, 5 1 1
62.12, 15, 2 1 3